Starting from the GGA-PBE geometry in OQMD, the powder diffractogram of MgZrSb2Pt2 was computed for a wavelength of 1.5418 Å.
No peak broadening, texture or thermal motion is included.

Structural model:
```
MgZrSb2Pt2
1.0
-3.1834 3.1834 6.3836
3.1834 -3.1834 6.3836
3.1834 3.1834 -6.3836
Mg Zr Sb Pt
2 2 4 4
Direct
0.0000 0.0000 0.0000
0.7500 0.2500 0.5000
0.2500 0.7500 0.5000
0.5000 0.5000 0.0000
0.2456 0.2456 0.0000
0.5044 0.0044 0.5000
0.7544 0.7544 0.0000
0.9956 0.4956 0.5000
0.1334 0.1250 0.5084
0.3750 0.8666 0.9916
0.6166 0.6250 0.4916
0.8750 0.3834 0.0084
```

Most intense lines, 10 to 80 degrees two-theta, most intense first:
- d 2.253, I 100
- d 3.679, I 72
- d 1.921, I 36
- d 1.300, I 23
- d 1.462, I 15
- d 1.302, I 11
- d 1.592, I 11
- d 1.226, I 8
- d 1.596, I 6
- d 5.698, I 4